Structure and theoretical powder X-ray diffraction pattern of Ti4H3 (a cell relaxed with PBE; Cu Kα X-rays).
Intensities are scaled so that the largest is 100.

Largest 9 diffraction maxima, sorted by position, 10° ≤ 2θ ≤ 80°:
h k l  d/Å  Position (°2θ)  I_rel
1 1 1  2.462  36.5  100
0 0 2  2.189  41.2  16
2 0 0  2.105  43.0  29
1 1 2  1.764  51.8  1
2 0 2  1.517  61.1  19
2 2 0  1.488  62.4  9
1 1 3  1.310  72.1  11
3 1 1  1.274  74.5  20
2 2 2  1.231  77.6  9

Crystal structure
```
7
Lattice="4.210 0.000 0.000 0.000 4.210 0.000 0.000 0.000 4.378" Properties=species:S:1:pos:R:3 pbc="T T T"
Ti 1.028 1.028 1.144
Ti 1.028 3.181 3.234
Ti 3.181 1.028 3.234
Ti 3.181 3.181 1.144
H 0.000 0.000 0.000
H 2.105 2.105 0.000
H 2.105 2.105 2.189
```